# Er3Sn7
Calculated powder diffraction line list, Cu Kα X-rays. Input: a cell relaxed with PBE.
Intensities are scaled so that the largest is 100.

Crystal structure
```
data_Er3Sn7
_chemical_formula_sum 'Er6 Sn14'
_symmetry_space_group_name_H-M 'C m m m'
_symmetry_Int_Tables_number 65
_symmetry_space_group_name_Hall '-C 2 2'
_cell_length_a 4.4255
_cell_length_b 26.4932
_cell_length_c 4.4097
_cell_angle_alpha 90.00
_cell_angle_beta 90.00
_cell_angle_gamma 90.00
loop_
_atom_site_label
_atom_site_fract_x
_atom_site_fract_y
_atom_site_fract_z
Er1 0.0000 0.0000 0.0000
Er2 0.0000 0.3105 0.5000
Sn1 0.0000 0.0965 0.5000
Sn2 0.0000 0.2109 0.0000
Sn3 0.0000 0.4024 0.0000
Sn4 0.0000 0.5000 0.5000
```

Top 10 peaks for 2θ from 10° to 90°, in order of rising 2θ:
| d_spacing | two_theta | I (rel.) | hkl |
| --- | --- | --- | --- |
| 2.691 | 33.3 | 100 | 1 5 1 |
| 2.649 | 33.8 | 23 | 0 10 0 |
| 2.213 | 40.8 | 16 | 2 0 0 |
| 2.205 | 40.9 | 15 | 0 0 2 |
| 1.698 | 54.0 | 12 | 2 10 0 |
| 1.695 | 54.1 | 11 | 0 10 2 |
| 1.562 | 59.2 | 11 | 2 0 2 |
| 1.537 | 60.2 | 12 | 1 15 1 |
| 1.353 | 69.5 | 12 | 3 5 1 |
| 1.349 | 69.7 | 12 | 1 5 3 |

---

# Er5Sn3
Calculated powder diffraction line list, Cu Kα X-rays. Input: a cell relaxed with PBE.
Intensities are scaled so that the largest is 100.

Crystal structure
```
data_Er5Sn3
_chemical_formula_sum 'Er10 Sn6'
_symmetry_space_group_name_H-M 'P 63/m c m'
_symmetry_Int_Tables_number 193
_symmetry_space_group_name_Hall '-P 6c 2'
_cell_length_a 8.8877
_cell_length_b 8.8877
_cell_length_c 6.4957
_cell_angle_alpha 90.00
_cell_angle_beta 90.00
_cell_angle_gamma 120.00
loop_
_atom_site_label
_atom_site_fract_x
_atom_site_fract_y
_atom_site_fract_z
Er1 0.0000 0.2378 0.2500
Er2 0.3333 0.6667 0.0000
Sn1 0.0000 0.3950 0.7500
```

Top 10 peaks for 2θ from 10° to 90°, in order of rising 2θ:
| d_spacing | two_theta | I (rel.) | hkl |
| --- | --- | --- | --- |
| 3.248 | 27.5 | 16 | 0 0 2 |
| 2.992 | 29.9 | 22 | 1 0 2 |
| 2.909 | 30.7 | 34 | 2 1 0 |
| 2.655 | 33.8 | 100 | 2 1 1 |
| 2.622 | 34.2 | 75 | 1 1 2 |
| 2.566 | 35.0 | 36 | 3 0 0 |
| 1.834 | 49.7 | 20 | 2 2 2 |
| 1.737 | 52.7 | 29 | 2 1 3 |
| 1.656 | 55.5 | 15 | 4 0 2 |
| 1.391 | 67.3 | 18 | 5 0 2 |